No. 1
The following is a computed X-ray powder pattern of LaPrAs2Pt2. It was derived from a PBE-relaxed structure, using Cu Kα X-rays.
Kinematic intensities with the Lorentz-polarization factor, no thermal factor.

```
data_LaPrAs2Pt2
_symmetry_space_group_name_H-M 'P 63/m m c'
_symmetry_Int_Tables_number 194
_symmetry_space_group_name_Hall '-P 6c 2c'
_cell_length_a 4.3807
_cell_length_b 4.3807
_cell_length_c 16.1796
_cell_angle_alpha 90.00
_cell_angle_beta 90.00
_cell_angle_gamma 120.00
loop_
_atom_site_label
_atom_site_fract_x
_atom_site_fract_y
_atom_site_fract_z
La1 0.0000 0.0000 0.2500
Pr1 0.0000 0.0000 0.0000
As1 0.3333 0.6667 0.1197
Pt1 0.3333 0.6667 0.6285
```

The 8 most intense peaks (2θ from 5° to 70°), low angle first:
- d 4.045, 22.0°, I = 9.6
- d 3.694, 24.1°, I = 15.0
- d 2.767, 32.4°, I = 100.0
- d 2.190, 41.2°, I = 57.7
- d 2.022, 44.8°, I = 14.8
- d 1.717, 53.3°, I = 24.4
- d 1.486, 62.5°, I = 32.9
- d 1.352, 69.6°, I = 22.0


No. 2
The following is a computed X-ray powder pattern of YScBi2Pt2. It was derived from a PBE-relaxed structure, using Cu Kα X-rays.
Kinematic intensities with the Lorentz-polarization factor, no thermal factor.

```
data_YScBi2Pt2
_symmetry_space_group_name_H-M 'P 1 m 1'
_symmetry_Int_Tables_number 6
_cell_length_a 9.3843
_cell_length_b 4.6918
_cell_length_c 14.0713
_cell_angle_alpha 90.00
_cell_angle_beta 109.44
_cell_angle_gamma 90.00
loop_
_symmetry_equiv_pos_as_xyz
'x,y,z'
'x,-y,z'
loop_
_atom_site_label
_atom_site_fract_x
_atom_site_fract_y
_atom_site_fract_z
Y1 0.0000 0.0000 0.0000
Y2 0.1242 0.5000 0.7475
Y3 0.2506 0.0000 0.4982
Y4 0.5018 0.0000 0.9998
Sc1 0.3767 0.5000 0.2497
Sc2 0.6252 0.5000 0.7464
Sc3 0.7479 0.0000 0.4963
Sc4 0.8751 0.5000 0.2501
Bi1 0.1263 0.0000 0.2514
Bi2 0.2523 0.5000 0.0033
Bi3 0.3784 0.0000 0.7486
Bi4 0.5016 0.5000 0.4950
Bi5 0.6265 0.0000 0.2503
Bi6 0.7508 0.5000 0.9988
Bi7 0.8697 0.0000 0.7438
Bi8 0.9955 0.5000 0.4964
Pt1 0.0656 0.5000 0.1317
Pt2 0.1869 0.0000 0.8738
Pt3 0.3216 0.5000 0.6254
Pt4 0.4416 0.0000 0.3707
Pt5 0.5677 0.5000 0.1309
Pt6 0.6862 0.0000 0.8677
Pt7 0.8046 0.5000 0.6187
Pt8 0.9311 0.0000 0.3715
```

The 8 most intense peaks (2θ from 5° to 70°), low angle first:
- d 3.831, 23.2°, I = 61.3
- d 3.318, 26.9°, I = 4.2
- d 2.346, 38.4°, I = 100.0
- d 2.001, 45.3°, I = 32.6
- d 1.659, 55.4°, I = 17.3
- d 1.522, 60.9°, I = 13.8
- d 1.484, 62.6°, I = 1.6
- d 1.354, 69.4°, I = 35.2


No. 3
The following is a computed X-ray powder pattern of BaZrAl2O6. It was derived from a PBE-relaxed structure, using Cu Kα X-rays.
Kinematic intensities with the Lorentz-polarization factor, no thermal factor.

```
data_BaZrAl2O6
_symmetry_space_group_name_H-M 'R -3 c'
_symmetry_Int_Tables_number 167
_symmetry_space_group_name_Hall '-R 3 2"c'
_cell_length_a 5.1666
_cell_length_b 5.1666
_cell_length_c 37.2051
_cell_angle_alpha 90.00
_cell_angle_beta 90.00
_cell_angle_gamma 120.00
loop_
_atom_site_label
_atom_site_fract_x
_atom_site_fract_y
_atom_site_fract_z
Ba1 0.0000 0.0000 0.2500
Zr1 0.0000 0.0000 0.0000
Al1 0.0000 0.0000 0.1628
O1 0.0031 0.3589 0.4726
```

The 8 most intense peaks (2θ from 5° to 70°), low angle first:
- d 4.032, 22.0°, I = 100.0
- d 3.224, 27.7°, I = 68.5
- d 3.100, 28.8°, I = 25.5
- d 2.583, 34.7°, I = 47.2
- d 2.175, 41.5°, I = 22.9
- d 2.016, 45.0°, I = 19.3
- d 1.985, 45.7°, I = 72.2
- d 1.491, 62.2°, I = 19.9


No. 4
The following is a computed X-ray powder pattern of Nb4SbSN2. It was derived from a PBE-relaxed structure, using Cu Kα X-rays.
Kinematic intensities with the Lorentz-polarization factor, no thermal factor.

```
data_Nb4SbSN2
_symmetry_space_group_name_H-M 'P -6 m 2'
_symmetry_Int_Tables_number 187
_symmetry_space_group_name_Hall 'P -6 2'
_cell_length_a 3.3441
_cell_length_b 3.3441
_cell_length_c 12.2200
_cell_angle_alpha 90.00
_cell_angle_beta 90.00
_cell_angle_gamma 120.00
loop_
_atom_site_label
_atom_site_fract_x
_atom_site_fract_y
_atom_site_fract_z
Nb1 0.0000 0.0000 0.1416
Nb2 0.6667 0.3333 0.3171
Sb1 0.0000 0.0000 0.5000
S1 0.6667 0.3333 0.0000
N1 0.3333 0.6667 0.2375
```

The 8 most intense peaks (2θ from 5° to 70°), low angle first:
- d 2.896, 30.9°, I = 29.3
- d 2.617, 34.3°, I = 16.4
- d 2.360, 38.1°, I = 100.0
- d 2.037, 44.5°, I = 8.8
- d 1.672, 54.9°, I = 27.1
- d 1.666, 55.1°, I = 9.4
- d 1.364, 68.8°, I = 16.8
- d 1.351, 69.6°, I = 10.4


No. 5
The following is a computed X-ray powder pattern of TeMoSe2SBr. It was derived from a PBE-relaxed structure, using Cu Kα X-rays.
Kinematic intensities with the Lorentz-polarization factor, no thermal factor.

```
data_TeMoSe2SBr
_symmetry_space_group_name_H-M 'P -1'
_symmetry_Int_Tables_number 2
_cell_length_a 6.4945
_cell_length_b 7.5771
_cell_length_c 8.2963
_cell_angle_alpha 72.48
_cell_angle_beta 67.00
_cell_angle_gamma 77.85
loop_
_symmetry_equiv_pos_as_xyz
'x,y,z'
'-x,-y,-z'
loop_
_atom_site_label
_atom_site_fract_x
_atom_site_fract_y
_atom_site_fract_z
Te1 0.1280 0.0815 0.2027
Mo1 0.2827 0.0003 0.4997
Se1 0.0380 0.7311 0.5564
Se2 0.4752 0.7294 0.6817
S1 0.3862 0.2032 0.6278
Br1 0.2846 0.7430 0.0522
```

The 8 most intense peaks (2θ from 5° to 70°), low angle first:
- d 7.407, 11.9°, I = 40.3
- d 7.185, 12.3°, I = 100.0
- d 5.928, 14.9°, I = 51.5
- d 3.409, 26.1°, I = 18.2
- d 3.167, 28.2°, I = 36.7
- d 2.682, 33.4°, I = 18.1
- d 2.522, 35.6°, I = 17.8
- d 2.332, 38.6°, I = 26.9


No. 6
The following is a computed X-ray powder pattern of NaLuAlSe3. It was derived from a PBE-relaxed structure, using Cu Kα X-rays.
Kinematic intensities with the Lorentz-polarization factor, no thermal factor.

```
data_NaLuAlSe3
_symmetry_space_group_name_H-M 'C m c m'
_symmetry_Int_Tables_number 63
_symmetry_space_group_name_Hall '-C 2c 2'
_cell_length_a 4.0441
_cell_length_b 13.8242
_cell_length_c 10.6514
_cell_angle_alpha 90.00
_cell_angle_beta 90.00
_cell_angle_gamma 90.00
loop_
_atom_site_label
_atom_site_fract_x
_atom_site_fract_y
_atom_site_fract_z
Na1 0.0000 0.2463 0.2500
Lu1 0.0000 0.0000 0.0000
Al1 0.0000 0.4690 0.7500
Se1 0.0000 0.0728 0.7500
Se2 0.0000 0.3615 0.5711
```

The 8 most intense peaks (2θ from 5° to 70°), low angle first:
- d 6.912, 12.8°, I = 100.0
- d 5.326, 16.6°, I = 27.8
- d 3.158, 28.3°, I = 34.7
- d 3.040, 29.4°, I = 67.6
- d 2.923, 30.6°, I = 31.4
- d 2.640, 34.0°, I = 72.6
- d 2.196, 41.1°, I = 34.6
- d 2.098, 43.1°, I = 38.9


No. 7
The following is a computed X-ray powder pattern of Rb2LaTbO4. It was derived from a PBE-relaxed structure, using Cu Kα X-rays.
Kinematic intensities with the Lorentz-polarization factor, no thermal factor.

```
data_Rb2LaTbO4
_symmetry_space_group_name_H-M 'P -3 m 1'
_symmetry_Int_Tables_number 164
_symmetry_space_group_name_Hall '-P 3 2"'
_cell_length_a 3.5978
_cell_length_b 3.5978
_cell_length_c 12.9479
_cell_angle_alpha 90.00
_cell_angle_beta 90.00
_cell_angle_gamma 120.00
loop_
_atom_site_label
_atom_site_fract_x
_atom_site_fract_y
_atom_site_fract_z
Rb1 0.3333 0.6667 0.2556
La1 0.0000 0.0000 0.0000
Tb1 0.0000 0.0000 0.5000
O1 0.3333 0.6667 0.5865
O2 0.3333 0.6667 0.9041
```

The 8 most intense peaks (2θ from 5° to 70°), low angle first:
- d 6.474, 13.7°, I = 21.1
- d 3.237, 27.6°, I = 31.9
- d 2.808, 31.9°, I = 100.0
- d 2.526, 35.5°, I = 24.0
- d 2.245, 40.2°, I = 21.2
- d 1.799, 50.8°, I = 27.5
- d 1.774, 51.5°, I = 31.6
- d 1.572, 58.7°, I = 23.8


No. 8
The following is a computed X-ray powder pattern of NdSiAs. It was derived from a PBE-relaxed structure, using Cu Kα X-rays.
Kinematic intensities with the Lorentz-polarization factor, no thermal factor.

```
data_NdSiAs
_symmetry_space_group_name_H-M 'F -4 3 m'
_symmetry_Int_Tables_number 216
_symmetry_space_group_name_Hall 'F -4 2 3'
_cell_length_a 6.7365
_cell_length_b 6.7365
_cell_length_c 6.7365
_cell_angle_alpha 90.00
_cell_angle_beta 90.00
_cell_angle_gamma 90.00
loop_
_atom_site_label
_atom_site_fract_x
_atom_site_fract_y
_atom_site_fract_z
Nd1 0.0000 0.0000 0.0000
Si1 0.2500 0.2500 0.7500
As1 0.0000 0.0000 0.5000
```

The 8 most intense peaks (2θ from 5° to 70°), low angle first:
- d 3.889, 22.9°, I = 20.8
- d 3.368, 26.5°, I = 75.8
- d 2.382, 37.8°, I = 100.0
- d 2.031, 44.6°, I = 10.6
- d 1.945, 46.7°, I = 21.8
- d 1.684, 54.5°, I = 17.1
- d 1.506, 61.6°, I = 28.5
- d 1.375, 68.2°, I = 34.8


No. 9
The following is a computed X-ray powder pattern of Re5Ni8. It was derived from a PBE-relaxed structure, using Cu Kα X-rays.
Kinematic intensities with the Lorentz-polarization factor, no thermal factor.

```
data_Re5Ni8
_symmetry_space_group_name_H-M 'R -3 m'
_symmetry_Int_Tables_number 166
_symmetry_space_group_name_Hall '-R 3 2"'
_cell_length_a 4.6230
_cell_length_b 4.6230
_cell_length_c 25.7086
_cell_angle_alpha 90.00
_cell_angle_beta 90.00
_cell_angle_gamma 120.00
loop_
_atom_site_label
_atom_site_fract_x
_atom_site_fract_y
_atom_site_fract_z
Re1 0.0000 0.0000 0.0000
Re2 0.0000 0.0000 0.1639
Re3 0.0000 0.0000 0.3525
Ni1 0.0000 0.0000 0.4540
Ni2 0.0035 0.5018 0.4131
```

The 8 most intense peaks (2θ from 5° to 70°), low angle first:
- d 4.285, 20.7°, I = 22.7
- d 2.312, 39.0°, I = 70.7
- d 2.163, 41.8°, I = 27.7
- d 2.142, 42.2°, I = 15.8
- d 2.034, 44.5°, I = 100.0
- d 2.018, 44.9°, I = 37.7
- d 1.911, 47.6°, I = 12.0
- d 1.865, 48.8°, I = 21.8


No. 10
The following is a computed X-ray powder pattern of LaTlZnSe3. It was derived from a PBE-relaxed structure, using Cu Kα X-rays.
Kinematic intensities with the Lorentz-polarization factor, no thermal factor.

```
data_LaTlZnSe3
_symmetry_space_group_name_H-M 'P n m a'
_symmetry_Int_Tables_number 62
_cell_length_a 11.8767
_cell_length_b 4.3966
_cell_length_c 12.7145
_cell_angle_alpha 90.00
_cell_angle_beta 90.00
_cell_angle_gamma 90.00
loop_
_symmetry_equiv_pos_as_xyz
'x,y,z'
'-x,-y,-z'
'-x+1/2,-y,z+1/2'
'x+1/2,y,-z+1/2'
'x+1/2,-y+1/2,-z+1/2'
'-x+1/2,y+1/2,z+1/2'
'-x,y+1/2,-z'
'x,-y+1/2,z'
loop_
_atom_site_label
_atom_site_fract_x
_atom_site_fract_y
_atom_site_fract_z
La1 0.0190 0.2500 0.1766
Tl1 0.1697 0.2500 0.5034
Zn1 0.2497 0.2500 0.7984
Se1 0.0482 0.7500 0.3394
Se2 0.1065 0.2500 0.9401
Se3 0.2170 0.7500 0.6992
```

The 8 most intense peaks (2θ from 5° to 70°), low angle first:
- d 3.780, 23.5°, I = 42.7
- d 3.534, 25.2°, I = 32.6
- d 3.458, 25.8°, I = 28.5
- d 3.088, 28.9°, I = 72.0
- d 2.955, 30.2°, I = 100.0
- d 2.690, 33.3°, I = 42.0
- d 2.517, 35.7°, I = 34.3
- d 2.198, 41.1°, I = 49.6


No. 11
The following is a computed X-ray powder pattern of ZnNi17. It was derived from a PBE-relaxed structure, using Cu Kα X-rays.
Kinematic intensities with the Lorentz-polarization factor, no thermal factor.

```
data_ZnNi17
_symmetry_space_group_name_H-M 'P 1 21/m 1'
_symmetry_Int_Tables_number 11
_cell_length_a 4.2832
_cell_length_b 4.9505
_cell_length_c 30.9916
_cell_angle_alpha 90.00
_cell_angle_beta 90.06
_cell_angle_gamma 90.00
loop_
_symmetry_equiv_pos_as_xyz
'x,y,z'
'-x,-y,-z'
'-x,y+1/2,-z'
'x,-y+1/2,z'
loop_
_atom_site_label
_atom_site_fract_x
_atom_site_fract_y
_atom_site_fract_z
Zn1 0.1659 0.2500 0.2693
Ni1 0.0000 0.0000 0.0000
Ni2 0.0000 0.9999 0.1961
Ni3 0.1662 0.2500 0.0655
Ni4 0.1664 0.2500 0.8697
Ni5 0.1663 0.7500 0.8691
Ni6 0.1670 0.7500 0.0652
Ni7 0.1681 0.7500 0.2607
Ni8 0.3335 0.0001 0.1309
Ni9 0.3333 0.0001 0.9347
Ni10 0.3341 0.0036 0.7395
Ni11 0.4987 0.2500 0.1967
Ni12 0.4989 0.2500 0.8042
Ni13 0.5000 0.2500 0.0001
```

The 8 most intense peaks (2θ from 5° to 70°), low angle first:
- d 15.496, 5.7°, I = 98.2
- d 10.331, 8.6°, I = 28.4
- d 7.748, 11.4°, I = 19.3
- d 2.066, 43.8°, I = 55.5
- d 2.025, 44.8°, I = 100.0
- d 1.979, 45.9°, I = 34.4
- d 1.763, 51.9°, I = 40.5
- d 1.761, 51.9°, I = 20.2


No. 12
The following is a computed X-ray powder pattern of ZnCdTeO. It was derived from a PBE-relaxed structure, using Cu Kα X-rays.
Kinematic intensities with the Lorentz-polarization factor, no thermal factor.

```
data_ZnCdTeO
_symmetry_space_group_name_H-M 'P c a 21'
_symmetry_Int_Tables_number 29
_cell_length_a 6.1471
_cell_length_b 8.9939
_cell_length_c 5.8613
_cell_angle_alpha 90.00
_cell_angle_beta 90.00
_cell_angle_gamma 90.00
loop_
_symmetry_equiv_pos_as_xyz
'x,y,z'
'-x,-y,z+1/2'
'-x+1/2,y,z+1/2'
'x+1/2,-y,z'
loop_
_atom_site_label
_atom_site_fract_x
_atom_site_fract_y
_atom_site_fract_z
Zn1 0.1160 0.0559 0.0000
Cd1 0.0088 0.3236 0.6251
Te1 0.0213 0.6630 0.6306
O1 0.0987 0.0699 0.6597
```

The 8 most intense peaks (2θ from 5° to 70°), low angle first:
- d 3.074, 29.1°, I = 85.6
- d 2.998, 29.8°, I = 100.0
- d 2.931, 30.5°, I = 83.3
- d 2.786, 32.1°, I = 31.3
- d 2.146, 42.1°, I = 56.5
- d 2.121, 42.6°, I = 55.1
- d 2.096, 43.2°, I = 54.5
- d 1.732, 52.9°, I = 56.1